KCeHfZrO6: computed powder XRD pattern (Cu Kα X-rays), based on DFT lattice parameters and positions (GGA-PBE).
Intensities are scaled so that the largest is 100.

Lattice parameters (Å, degrees): 5.8723 5.8723 5.8723 60.00 60.00 60.00
Positions (direct):
K1 0.0000 0.0000 0.0000
Ce1 0.5000 0.5000 0.5000
Hf1 0.2500 0.2500 0.2500
Zr1 0.7500 0.7500 0.7500
O1 0.0019 0.0019 0.4981
O2 0.0019 0.4981 0.0019
O3 0.0019 0.4981 0.4981
O4 0.4981 0.0019 0.0019
O5 0.4981 0.0019 0.4981
O6 0.4981 0.4981 0.0019

Largest 10 diffraction maxima, low angle first, 5° ≤ 2θ ≤ 70°:
two_theta	I_rel
18.50	21
21.40	11
30.44	100
35.86	12
43.59	32
47.74	6
49.06	5
54.10	40
57.68	5
63.35	19

=====

CaZrSi6H2O15: computed powder XRD pattern (Cu Kα X-rays), based on DFT lattice parameters and positions (GGA-PBE).
Intensities are scaled so that the largest is 100.

Lattice parameters (Å, degrees): 10.0580 10.0580 7.9188 103.28 103.28 90.46
Positions (direct):
Ca1 0.2461 0.2461 0.4514
Ca2 0.7539 0.7539 0.5486
Zr1 0.0025 0.5005 0.5039
Zr2 0.4995 0.9975 0.4961
Si1 0.0485 0.2639 0.7729
Si2 0.2002 0.4273 0.1615
Si3 0.2544 0.7373 0.1961
Si4 0.2627 0.7456 0.8039
Si5 0.2714 0.0486 0.7695
Si6 0.4272 0.1976 0.1632
Si7 0.5727 0.7998 0.8385
Si8 0.7361 0.9515 0.2271
Si9 0.7392 0.2567 0.2024
Si10 0.7433 0.2608 0.7976
Si11 0.8024 0.5728 0.8368
Si12 0.9514 0.7286 0.2305
H1 0.0385 0.0808 0.3154
H2 0.3958 0.4244 0.7332
H3 0.5756 0.6042 0.2668
H4 0.9192 0.9615 0.6846
O1 0.0793 0.3272 0.6126
O2 0.0993 0.3751 0.9641
O3 0.1137 0.7659 0.2663
O4 0.1236 0.4242 0.3205
O5 0.1296 0.1245 0.7797
O6 0.1727 0.6168 0.6657
O7 0.2282 0.7718 0.0000
O8 0.2341 0.8863 0.7337
O9 0.2774 0.5728 0.1765
O10 0.3170 0.3158 0.1961
O11 0.3305 0.0826 0.6079
O12 0.3832 0.8273 0.3343
O13 0.3839 0.1052 0.9597
O14 0.4124 0.1140 0.3111
O15 0.4272 0.7226 0.8235
O16 0.5758 0.8764 0.6795
O17 0.5770 0.2755 0.2043
O18 0.6195 0.1655 0.6571
O19 0.6249 0.9007 0.0359
O20 0.6728 0.9207 0.3874
O21 0.6842 0.6830 0.8039
O22 0.7245 0.4230 0.7957
O23 0.7557 0.2443 0.0000
O24 0.7814 0.1122 0.2570
O25 0.8345 0.3805 0.3429
O26 0.8755 0.8704 0.2203
O27 0.8860 0.5876 0.6889
O28 0.8878 0.2186 0.7430
O29 0.8948 0.6161 0.0403
O30 0.9174 0.6695 0.3921

Largest 10 diffraction maxima, low angle first, 5° ≤ 2θ ≤ 70°:
two_theta	I_rel
12.40	74
13.22	94
19.19	46
20.48	100
23.13	53
26.33	21
26.62	21
27.68	21
29.01	79
46.09	23

=====

LuI3O9: computed powder XRD pattern (Cu Kα X-rays), based on DFT lattice parameters and positions (GGA-PBE).
Intensities are scaled so that the largest is 100.

Lattice parameters (Å, degrees): 8.7106 6.1946 16.6089 90.00 114.86 90.00
Positions (direct):
Lu1 0.1507 0.2185 0.1096
Lu2 0.1507 0.2815 0.6096
Lu3 0.8493 0.7185 0.3904
Lu4 0.8493 0.7815 0.8904
I1 0.0744 0.1960 0.3619
I2 0.0744 0.3040 0.8619
I3 0.3499 0.6482 0.5182
I4 0.3499 0.8518 0.0182
I5 0.4164 0.5931 0.8015
I6 0.4164 0.9069 0.3015
I7 0.5836 0.0931 0.6985
I8 0.5836 0.4069 0.1985
I9 0.6501 0.1482 0.9818
I10 0.6501 0.3518 0.4818
I11 0.9256 0.6960 0.1381
I12 0.9256 0.8040 0.6381
O1 0.0614 0.0434 0.6816
O2 0.0614 0.4566 0.1816
O3 0.0955 0.5973 0.6690
O4 0.0955 0.9027 0.1690
O5 0.1185 0.6497 0.4781
O6 0.1185 0.8503 0.9781
O7 0.1231 0.1485 0.4779
O8 0.1231 0.3515 0.9779
O9 0.3434 0.1781 0.2564
O10 0.3434 0.3219 0.7564
O11 0.3431 0.5799 0.8901
O12 0.3431 0.9201 0.3901
O13 0.3494 0.0612 0.9377
O14 0.3494 0.4388 0.4377
O15 0.3604 0.0149 0.6368
O16 0.3604 0.4851 0.1368
O17 0.3771 0.0265 0.1134
O18 0.3771 0.4735 0.6134
O19 0.6229 0.5265 0.3866
O20 0.6229 0.9735 0.8866
O21 0.6396 0.5149 0.8632
O22 0.6396 0.9851 0.3632
O23 0.6506 0.5612 0.5623
O24 0.6506 0.9388 0.0623
O25 0.6569 0.0799 0.6099
O26 0.6569 0.4201 0.1099
O27 0.6566 0.6781 0.2436
O28 0.6566 0.8219 0.7436
O29 0.8769 0.6485 0.0221
O30 0.8769 0.8515 0.5221
O31 0.8815 0.1497 0.0219
O32 0.8815 0.3503 0.5219
O33 0.9045 0.0973 0.8310
O34 0.9045 0.4027 0.3310
O35 0.9386 0.5434 0.8184
O36 0.9386 0.9566 0.3184

Largest 10 diffraction maxima, low angle first, 5° ≤ 2θ ≤ 70°:
two_theta	I_rel
20.55	18
22.79	34
25.10	20
25.87	100
26.76	86
30.27	32
30.65	23
31.01	19
32.25	28
45.38	18

=====

WN2: computed powder XRD pattern (Cu Kα X-rays), based on DFT lattice parameters and positions (GGA-PBE).
Intensities are scaled so that the largest is 100.

Lattice parameters (Å, degrees): 2.9342 2.9342 7.8037 90.00 90.00 120.00
Positions (direct):
W1 0.3333 0.6667 0.2500
W2 0.6667 0.3333 0.7500
N1 0.0000 0.0000 0.0900
N2 0.0000 0.0000 0.4100
N3 0.0000 0.0000 0.5900
N4 0.0000 0.0000 0.9100

Largest 9 diffraction maxima, low angle first, 5° ≤ 2θ ≤ 70°:
two_theta	I_rel
22.79	67
35.32	9
37.21	100
42.45	29
46.55	10
50.19	43
59.76	11
63.40	18
68.30	21